Starting from a GGA+U-relaxed structure, the powder diffractogram of Th4V6O19 was computed for Cu Kα (weighted mean of Kα1 and Kα2).
No peak broadening, texture or thermal motion is included.

a = 7.604 Å, b = 7.604 Å, c = 7.604 Å
α = 109.47°, β = 109.47°, γ = 109.47°
Sites, in units of the cell vectors:
Th  0.000  0.000  0.332
Th  0.000  0.332  0.000
Th  0.332  0.000  0.000
Th  0.668  0.668  0.668
V  0.161  0.500  0.661
V  0.339  0.839  0.500
V  0.500  0.339  0.839
V  0.500  0.661  0.161
V  0.661  0.161  0.500
V  0.839  0.500  0.339
O  0.000  0.000  0.000
O  0.000  0.343  0.343
O  0.000  0.657  0.657
O  0.022  0.664  0.264
O  0.242  0.642  0.978
O  0.264  0.022  0.664
O  0.336  0.358  0.599
O  0.343  0.000  0.343
O  0.343  0.343  0.000
O  0.358  0.599  0.336
O  0.401  0.758  0.736
O  0.599  0.336  0.358
O  0.642  0.978  0.242
O  0.657  0.000  0.657
O  0.657  0.657  0.000
O  0.664  0.264  0.022
O  0.736  0.401  0.758
O  0.758  0.736  0.401
O  0.978  0.242  0.642

Principal peaks in the range 5 to 70 degrees two-theta, sorted by position:
2θ = 24.8°, intensity 100; 2θ = 32.2°, intensity 39; 2θ = 35.4°, intensity 14; 2θ = 38.4°, intensity 16; 2θ = 43.7°, intensity 66; 2θ = 51.0°, intensity 18; 2θ = 57.5°, intensity 20; 2θ = 63.6°, intensity 20